# 1
Structure and calculated XRD peak list of Cs2CeAg3Cl12 (a PBE-relaxed structure; λ = 1.5418 Å (Cu Kα)).

Principal peaks in the range 15° ≤ 2θ ≤ 90°, most intense first:
- d 3.997, rel. 100
- d 4.469, rel. 91
- d 2.561, rel. 88
- d 2.222, rel. 70
- d 3.706, rel. 55
- d 3.811, rel. 45

Structural model:
abc: 10.489 10.489 10.489
angles: 50.13 50.13 50.13
Positions (direct):
Cs (0.118, 0.118, 0.118)
Cs (0.882, 0.882, 0.882)
Ce (0.500, 0.500, 0.500)
Ag (0.000, 0.500, 0.500)
Ag (0.500, 0.000, 0.500)
Ag (0.500, 0.500, 0.000)
Cl (0.159, 0.592, 0.592)
Cl (0.173, 0.173, 0.582)
Cl (0.173, 0.582, 0.173)
Cl (0.408, 0.408, 0.841)
Cl (0.408, 0.841, 0.408)
Cl (0.418, 0.827, 0.827)
Cl (0.582, 0.173, 0.173)
Cl (0.592, 0.159, 0.592)
Cl (0.592, 0.592, 0.159)
Cl (0.827, 0.418, 0.827)
Cl (0.827, 0.827, 0.418)
Cl (0.841, 0.408, 0.408)

=====

# 2
Structure and calculated XRD peak list of Cs3CeAg2I9 (a PBE-relaxed structure; λ = 1.5418 Å (Cu Kα)).

Principal peaks in the range 15° ≤ 2θ ≤ 90°, most intense first:
- d 3.052, rel. 100
- d 3.521, rel. 57
- d 2.155, rel. 39
- d 2.162, rel. 33
- d 1.839, rel. 26
- d 1.760, rel. 20

Structural model:
abc: 8.619 8.619 10.608
angles: 90.00 90.00 120.00
Positions (direct):
Cs (0.000, 0.000, 0.000)
Cs (0.333, 0.667, 0.702)
Cs (0.667, 0.333, 0.298)
Ce (0.000, 0.000, 0.500)
Ag (0.333, 0.667, 0.141)
Ag (0.667, 0.333, 0.859)
I (0.000, 0.500, 0.000)
I (0.168, 0.335, 0.335)
I (0.168, 0.832, 0.335)
I (0.335, 0.168, 0.665)
I (0.500, 0.000, 0.000)
I (0.500, 0.500, 0.000)
I (0.665, 0.832, 0.335)
I (0.832, 0.168, 0.665)
I (0.832, 0.665, 0.665)

=====

# 3
Structure and calculated XRD peak list of Cs3Ce3AgS8 (a PBE-relaxed structure; λ = 1.5418 Å (Cu Kα)).

Principal peaks in the range 15° ≤ 2θ ≤ 90°, most intense first:
- d 3.074, rel. 100
- d 3.424, rel. 44
- d 2.308, rel. 35
- d 2.061, rel. 33
- d 4.033, rel. 28
- d 1.835, rel. 20

Structural model:
abc: 8.240 8.240 9.361
angles: 116.06 116.06 60.09
Positions (direct):
Cs (0.000, 0.000, 0.000)
Cs (0.000, 0.500, 0.000)
Cs (0.500, 0.000, 0.000)
Ce (0.000, 0.500, 0.500)
Ce (0.500, 0.000, 0.500)
Ce (0.500, 0.500, 0.500)
Ag (0.000, 0.000, 0.500)
S (0.234, 0.234, 0.677)
S (0.235, 0.708, 0.678)
S (0.272, 0.272, 0.316)
S (0.292, 0.765, 0.322)
S (0.708, 0.235, 0.678)
S (0.728, 0.728, 0.684)
S (0.765, 0.292, 0.322)
S (0.766, 0.766, 0.323)

=====

# 4
Structure and calculated XRD peak list of CsCe4Ag3S12 (a PBE-relaxed structure; λ = 1.5418 Å (Cu Kα)).

Principal peaks in the range 15° ≤ 2θ ≤ 90°, most intense first:
- d 3.564, rel. 100
- d 2.058, rel. 65
- d 2.520, rel. 27
- d 1.347, rel. 23
- d 1.594, rel. 23
- d 1.188, rel. 20

Structural model:
abc: 8.730 8.730 8.730
angles: 109.47 109.47 109.47
Positions (direct):
Cs (0.000, 0.000, 0.000)
Ce (0.000, 0.000, 0.500)
Ce (0.000, 0.500, 0.000)
Ce (0.500, 0.000, 0.000)
Ce (0.500, 0.500, 0.500)
Ag (0.000, 0.500, 0.500)
Ag (0.500, 0.000, 0.500)
Ag (0.500, 0.500, 0.000)
S (0.153, 0.320, 0.832)
S (0.168, 0.488, 0.320)
S (0.168, 0.847, 0.680)
S (0.320, 0.168, 0.488)
S (0.320, 0.832, 0.153)
S (0.488, 0.320, 0.168)
S (0.512, 0.680, 0.832)
S (0.680, 0.168, 0.847)
S (0.680, 0.832, 0.512)
S (0.832, 0.153, 0.320)
S (0.832, 0.512, 0.680)
S (0.847, 0.680, 0.168)

=====

# 5
Structure and calculated XRD peak list of CsCe2AgS4 (a PBE-relaxed structure; λ = 1.5418 Å (Cu Kα)).

Principal peaks in the range 15° ≤ 2θ ≤ 90°, most intense first:
- d 2.905, rel. 100
- d 3.544, rel. 61
- d 3.097, rel. 52
- d 2.142, rel. 50
- d 4.010, rel. 50
- d 3.586, rel. 39

Structural model:
abc: 7.478 7.478 14.508
angles: 90.00 90.00 147.10
Positions (direct):
Cs (0.111, 0.889, 0.750)
Cs (0.889, 0.111, 0.250)
Ce (0.370, 0.630, 0.561)
Ce (0.370, 0.630, 0.939)
Ce (0.630, 0.370, 0.061)
Ce (0.630, 0.370, 0.439)
Ag (0.166, 0.834, 0.250)
Ag (0.834, 0.166, 0.750)
S (0.000, 0.000, 0.000)
S (0.000, 0.000, 0.500)
S (0.257, 0.743, 0.100)
S (0.257, 0.743, 0.400)
S (0.429, 0.571, 0.750)
S (0.571, 0.429, 0.250)
S (0.743, 0.257, 0.600)
S (0.743, 0.257, 0.900)

=====

# 6
Structure and calculated XRD peak list of CsCe2Ag2Se6 (a PBE-relaxed structure; λ = 1.5418 Å (Cu Kα)).

Principal peaks in the range 15° ≤ 2θ ≤ 90°, most intense first:
- d 2.705, rel. 100
- d 3.601, rel. 98
- d 3.412, rel. 78
- d 3.361, rel. 73
- d 1.936, rel. 65
- d 2.610, rel. 61

Structural model:
abc: 7.748 7.855 8.462
angles: 113.07 90.01 119.55
Positions (direct):
Cs (0.000, 0.000, 0.000)
Ce (0.332, 0.663, 0.003)
Ce (0.668, 0.337, 0.997)
Ag (0.370, 0.741, 0.445)
Ag (0.630, 0.259, 0.555)
Se (0.063, 0.651, 0.234)
Se (0.415, 0.352, 0.766)
Se (0.434, 0.870, 0.775)
Se (0.566, 0.130, 0.225)
Se (0.585, 0.648, 0.234)
Se (0.937, 0.349, 0.766)

=====

# 7
Structure and calculated XRD peak list of CsCe2AgSe5 (a PBE-relaxed structure; λ = 1.5418 Å (Cu Kα)).

Principal peaks in the range 15° ≤ 2θ ≤ 90°, most intense first:
- d 2.980, rel. 100
- d 2.368, rel. 77
- d 3.605, rel. 60
- d 2.571, rel. 48
- d 2.875, rel. 29
- d 2.314, rel. 27

Structural model:
abc: 9.689 9.689 9.689
angles: 130.39 130.39 72.79
Positions (direct):
Cs (0.250, 0.250, 0.000)
Cs (0.750, 0.750, 0.000)
Ce (0.163, 0.663, 0.827)
Ce (0.337, 0.163, 0.500)
Ce (0.663, 0.837, 0.500)
Ce (0.837, 0.337, 0.173)
Ag (0.250, 0.750, 0.500)
Ag (0.750, 0.250, 0.500)
Se (0.000, 0.000, 0.000)
Se (0.028, 0.241, 0.500)
Se (0.241, 0.741, 0.213)
Se (0.259, 0.472, 0.500)
Se (0.472, 0.972, 0.213)
Se (0.500, 0.500, 0.000)
Se (0.528, 0.028, 0.787)
Se (0.741, 0.528, 0.500)
Se (0.759, 0.259, 0.787)
Se (0.972, 0.759, 0.500)

=====

# 8
Structure and calculated XRD peak list of CeLuCuAg (a PBE-relaxed structure; λ = 1.5418 Å (Cu Kα)).

Principal peaks in the range 15° ≤ 2θ ≤ 90°, most intense first:
- d 2.526, rel. 100
- d 1.459, rel. 35
- d 1.786, rel. 17
- d 1.130, rel. 16
- d 1.263, rel. 11
- d 3.573, rel. 8

Structural model:
abc: 5.053 5.053 5.053
angles: 60.00 60.00 60.00
Positions (direct):
Ce (0.000, 0.000, 0.000)
Lu (0.500, 0.500, 0.500)
Cu (0.750, 0.750, 0.750)
Ag (0.250, 0.250, 0.250)

=====

# 9
Structure and calculated XRD peak list of CePmCuAg (a PBE-relaxed structure; λ = 1.5418 Å (Cu Kα)).

Principal peaks in the range 15° ≤ 2θ ≤ 90°, most intense first:
- d 2.584, rel. 100
- d 1.492, rel. 36
- d 1.827, rel. 18
- d 1.155, rel. 15
- d 1.292, rel. 11
- d 3.654, rel. 6

Structural model:
abc: 5.167 5.167 5.167
angles: 60.00 60.00 60.00
Positions (direct):
Ce (0.000, 0.000, 0.000)
Pm (0.500, 0.500, 0.500)
Cu (0.750, 0.750, 0.750)
Ag (0.250, 0.250, 0.250)

=====

# 10
Structure and calculated XRD peak list of CeEr3Ag4 (a PBE-relaxed structure; λ = 1.5418 Å (Cu Kα)).

Principal peaks in the range 15° ≤ 2θ ≤ 90°, most intense first:
- d 2.573, rel. 100
- d 1.485, rel. 24
- d 1.818, rel. 12
- d 1.487, rel. 12
- d 1.150, rel. 10
- d 1.287, rel. 7

Structural model:
abc: 5.141 5.141 7.294
angles: 90.00 90.00 90.00
Positions (direct):
Ce (0.000, 0.000, 0.000)
Er (0.000, 0.000, 0.500)
Er (0.500, 0.500, 0.000)
Er (0.500, 0.500, 0.500)
Ag (0.000, 0.500, 0.262)
Ag (0.000, 0.500, 0.738)
Ag (0.500, 0.000, 0.262)
Ag (0.500, 0.000, 0.738)

=====

# 11
Structure and calculated XRD peak list of Ce2ErAg2Pb2 (a PBE-relaxed structure; λ = 1.5418 Å (Cu Kα)).

Principal peaks in the range 15° ≤ 2θ ≤ 90°, most intense first:
- d 2.820, rel. 100
- d 2.415, rel. 74
- d 1.834, rel. 28
- d 1.461, rel. 27
- d 1.737, rel. 16
- d 1.394, rel. 13

Structural model:
abc: 9.336 9.336 9.336
angles: 29.98 29.98 29.98
Positions (direct):
Ce (0.144, 0.144, 0.144)
Ce (0.856, 0.856, 0.856)
Er (0.000, 0.000, 0.000)
Ag (0.430, 0.430, 0.430)
Ag (0.570, 0.570, 0.570)
Pb (0.272, 0.272, 0.272)
Pb (0.728, 0.728, 0.728)

=====

# 12
Structure and calculated XRD peak list of CeEuAgIr (a PBE-relaxed structure; λ = 1.5418 Å (Cu Kα)).

Principal peaks in the range 15° ≤ 2θ ≤ 90°, most intense first:
- d 2.549, rel. 100
- d 1.472, rel. 36
- d 1.802, rel. 18
- d 1.140, rel. 16
- d 1.275, rel. 11
- d 4.163, rel. 4

Structural model:
abc: 5.098 5.098 5.098
angles: 60.00 60.00 60.00
Positions (direct):
Ce (0.000, 0.000, 0.000)
Eu (0.500, 0.500, 0.500)
Ag (0.250, 0.250, 0.250)
Ir (0.750, 0.750, 0.750)